This entry pairs a crystal structure of Nd4Al5Zn2 with its theoretical powder X-ray diffraction pattern. Radiation: Cu Kα X-rays. Structure: a crystal structure in Alexandria, relaxed with PBE.

The 10 most intense peaks (2θ from 15° to 90°), in order of falling intensity:
d_spacing  I/Imax
2.744  100
2.606  87
2.679  85
2.351  63
4.131  62
2.317  55
2.423  52
2.329  49
2.489  40
3.918  39

Atomic structure:
```
data_Nd4Al5Zn2
_chemical_formula_sum 'Nd4 Al5 Zn2'
_cell_length_a 7.415
_cell_length_b 3.671
_cell_length_c 9.591
_cell_angle_alpha 90.00
_cell_angle_beta 93.32
_cell_angle_gamma 90.00
_symmetry_space_group_name_H-M 'P 1 2/m 1'
_symmetry_Int_Tables_number 10
loop_
_symmetry_equiv_pos_as_xyz
'x,y,z'
'-x,-y,-z'
'-x,y,-z'
'x,-y,z'
loop_
_atom_site_label
_atom_site_fract_x
_atom_site_fract_y
_atom_site_fract_z
Nd1 0.171 0.000 0.384
Nd2 0.277 0.000 0.941
Al1 0.201 0.500 0.668
Al2 0.437 0.500 0.212
Al3 0.500 0.500 0.500
Zn1 0.055 0.500 0.134
```